Starting from the GGA-PBE geometry in the Materials Project, the powder X-ray diffraction pattern of Be3Ni was computed for Cu Kα (λ = 1.5418 Å).
Lines closer than 0.1° are merged.

a b c (Å): 4.5918 4.5918 3.7015
angles (deg): 90.00 90.00 120.00
Fractional positions:
Be1 0.1659 0.3319 0.2500
Be2 0.1659 0.8340 0.2500
Be3 0.3319 0.1659 0.7500
Be4 0.6681 0.8340 0.2500
Be5 0.8340 0.1659 0.7500
Be6 0.8340 0.6681 0.7500
Ni1 0.3333 0.6667 0.7500
Ni2 0.6667 0.3333 0.2500

Most intense lines, 10° ≤ 2θ ≤ 80°, by intensity:
d 2.709, I 100, hkl 1 0 1; d 1.752, I 50, hkl 2 0 1; d 3.977, I 44, hkl 1 0 0; d 2.296, I 41, hkl 1 1 0; d 1.393, I 22, hkl 2 1 1; d 1.441, I 17, hkl 1 1 2; d 1.851, I 13, hkl 0 0 2; d 1.988, I 13, hkl 2 0 0; d 1.678, I 7, hkl 1 0 2; d 1.355, I 7, hkl 2 0 2